Entry 1:
The following is a computed powder diffraction line list of Pr2Ga7Pt12. It was derived from the GGA-PBE geometry in Alexandria, using λ = 1.5418 Å (Cu Kα).

Cell and atoms:
Unit cell a=10.0986 b=10.0986 c=4.1250 alpha=90.00 beta=90.00 gamma=120.00
Space group P-6 (No. 174)
Unique sites:
Pr 0.0000 0.0000 0.0000
Pr 0.3333 0.6667 0.5000
Ga 0.0444 0.5810 0.0000
Ga 0.2671 0.0200 0.5000
Ga 0.6667 0.3333 0.0000
Pt 0.0264 0.7620 0.5000
Pt 0.1427 0.3957 0.0000
Pt 0.3830 0.1927 0.0000
Pt 0.5585 0.1310 0.5000

Top 6 peaks for 2θ from 15° to 90°, by intensity:
- (1 2 1), 2θ 34.8, I = 1000
- (3 1 1), 2θ 43.3, I = 270
- (0 0 2), 2θ 43.9, I = 257
- (2 2 1), 2θ 42.0, I = 197
- (1 2 3), 2θ 74.8, I = 153
- (2 3 2), 2θ 64.8, I = 149

---

Entry 2:
The following is a computed powder diffraction line list of Pr2Ga12Pt7. It was derived from the GGA-PBE geometry in Alexandria, using λ = 1.5418 Å (Cu Kα).

Cell and atoms:
Unit cell a=10.0822 b=10.0822 c=4.2306 alpha=90.00 beta=90.00 gamma=120.00
Space group P-6 (No. 174)
Unique sites:
Pr 0.0000 0.0000 0.0000
Pr 0.3333 0.6667 0.5000
Ga 0.0188 0.2782 0.5000
Ga 0.1423 0.7476 0.0000
Ga 0.3713 0.1966 0.0000
Ga 0.5378 0.4175 0.5000
Pt 0.0311 0.4517 0.0000
Pt 0.2458 0.2380 0.5000
Pt 0.6667 0.3333 0.0000

Top 6 peaks for 2θ from 15° to 90°, by intensity:
- (2 1 1), 2θ 34.5, I = 1000
- (3 1 1), 2θ 43.0, I = 669
- (0 0 2), 2θ 42.7, I = 508
- (2 1 0), 2θ 27.0, I = 484
- (2 2 1), 2θ 41.7, I = 463
- (2 0 1), 2θ 29.4, I = 460

---

Entry 3:
The following is a computed powder diffraction line list of PrGa9Pt2. It was derived from the GGA-PBE geometry in Alexandria, using λ = 1.5418 Å (Cu Kα).

Cell and atoms:
Unit cell a=10.271 b=12.783 c=6.724 alpha=90.00 beta=90.00 gamma=90.00
Space group Imma (No. 74)
Unique sites:
Pr 0.000 0.250 0.097
Ga 0.000 0.250 0.618
Ga 0.126 0.059 0.829
Ga 0.189 0.132 0.420
Pt 0.000 0.000 0.500
Pt 0.250 0.250 0.750

Top 6 peaks for 2θ from 15° to 90°, by intensity:
- (1 3 2), 2θ 35.1, I = 1000
- (2 4 2), 2θ 42.8, I = 983
- (0 1 3), 2θ 40.9, I = 964
- (3 1 2), 2θ 38.2, I = 887
- (3 2 1), 2θ 32.5, I = 845
- (2 3 1), 2θ 30.3, I = 666

---

Entry 4:
The following is a computed powder diffraction line list of PrGa2Pt4. It was derived from the GGA-PBE geometry in Alexandria, using λ = 1.5418 Å (Cu Kα).

Cell and atoms:
Unit cell a=7.895 b=7.895 c=4.029 alpha=90.00 beta=90.00 gamma=90.00
Space group P4_2/mnm (No. 136)
Unique sites:
Pr 0.000 0.000 0.000
Ga 0.223 0.223 0.500
Pt 0.081 0.668 0.500

Top 6 peaks for 2θ from 15° to 90°, by intensity:
- (2 1 1), 2θ 33.8, I = 1000
- (2 2 1), 2θ 39.3, I = 582
- (3 1 1), 2θ 42.6, I = 577
- (3 1 0), 2θ 36.0, I = 461
- (0 0 2), 2θ 45.0, I = 332
- (4 1 0), 2θ 47.5, I = 313

---

Entry 5:
The following is a computed powder diffraction line list of PrGa4Pt12. It was derived from the GGA-PBE geometry in Alexandria, using λ = 1.5418 Å (Cu Kα).

Cell and atoms:
Unit cell a=8.600 b=8.600 c=8.600 alpha=90.00 beta=90.00 gamma=90.00
Space group Im-3 (No. 204)
Unique sites:
Pr 0.000 0.000 0.000
Ga 0.250 0.250 0.250
Pt 0.000 0.153 0.347

Top 6 peaks for 2θ from 15° to 90°, by intensity:
- (3 1 0), 2θ 32.9, I = 1000
- (3 2 1), 2θ 39.2, I = 358
- (4 1 3), 2θ 54.4, I = 342
- (6 3 1), 2θ 74.9, I = 156
- (4 2 2), 2θ 52.1, I = 140
- (4 0 2), 2θ 47.3, I = 137

---

Entry 6:
The following is a computed powder diffraction line list of Pr2Ga5Pt. It was derived from the GGA-PBE geometry in Alexandria, using λ = 1.5418 Å (Cu Kα).

Cell and atoms:
Unit cell a=6.211 b=6.211 c=9.113 alpha=90.00 beta=90.00 gamma=90.00
Space group I4mm (No. 107)
Unique sites:
Pr 0.000 0.500 0.000
Ga 0.000 0.000 0.474
Ga 0.212 0.212 0.251
Pt 0.000 0.000 0.750

Top 6 peaks for 2θ from 15° to 90°, by intensity:
- (1 1 2), 2θ 28.2, I = 1000
- (2 2 0), 2θ 41.1, I = 625
- (2 0 2), 2θ 35.0, I = 578
- (2 1 1), 2θ 33.7, I = 447
- (2 2 4), 2θ 58.4, I = 426
- (0 0 4), 2θ 39.6, I = 392